Record 1
Diffraction record for Li4MnNbW2O12. The X-ray powder pattern is theoretical, not measured: it uses a PBE+U-relaxed structure and copper Kα.

Top 6 peaks for 2θ = 5–70°, in order of rising 2θ:
d = 3.839 Å, I = 53
d = 3.730 Å, I = 100
d = 2.766 Å, I = 21
d = 2.742 Å, I = 20
d = 2.714 Å, I = 19
d = 2.617 Å, I = 14

```
Li4MnNbW2O12
1.0
5.136 0.000 0.000
-0.010 5.446 0.000
-0.102 -0.633 7.677
Li Mn Nb W O
4 1 1 2 12
direct
0.000 0.000 0.000
0.002 0.015 0.465
0.503 0.473 0.002
0.508 0.471 0.471
0.504 0.061 0.198
0.003 0.551 0.717
0.013 0.567 0.212
0.500 0.050 0.696
0.127 0.585 0.444
0.186 0.893 0.756
0.202 0.274 0.133
0.303 0.762 0.133
0.326 0.392 0.757
0.378 0.100 0.466
0.634 0.089 0.924
0.688 0.762 0.624
0.702 0.380 0.246
0.811 0.264 0.625
0.821 0.876 0.244
0.881 0.576 0.948
```

Record 2
Diffraction record for Li4Mn2Ni3O10. The X-ray powder pattern is theoretical, not measured: it uses a PBE+U-relaxed structure and copper Kα.

Top 6 peaks for 2θ = 5–70°, in order of rising 2θ:
d = 6.972 Å, I = 100
d = 4.783 Å, I = 43
d = 4.745 Å, I = 77
d = 2.083 Å, I = 62
d = 2.072 Å, I = 65
d = 2.034 Å, I = 59

```
Li4Mn2Ni3O10
1.0
5.061 0.000 0.000
-0.995 4.978 0.000
-2.481 -2.011 6.972
Li Mn Ni O
4 2 3 10
direct
0.083 0.269 0.092
0.304 0.891 0.274
0.696 0.109 0.726
0.917 0.731 0.908
0.300 0.402 0.808
0.700 0.598 0.192
0.106 0.805 0.603
0.500 0.500 0.500
0.894 0.195 0.397
0.080 0.550 0.348
0.095 0.067 0.831
0.300 0.178 0.566
0.317 0.613 0.045
0.482 0.718 0.728
0.518 0.282 0.272
0.683 0.387 0.955
0.700 0.822 0.434
0.905 0.933 0.169
0.920 0.450 0.652
```

Record 3
Diffraction record for Li3MnNi2O6. The X-ray powder pattern is theoretical, not measured: it uses a PBE+U-relaxed structure and copper Kα.

Top 6 peaks for 2θ = 5–70°, in order of rising 2θ:
d = 4.941 Å, I = 100
d = 2.528 Å, I = 17
d = 2.385 Å, I = 23
d = 2.237 Å, I = 21
d = 2.137 Å, I = 25
d = 1.900 Å, I = 17

```
Li3MnNi2O6
1.0
4.444 -2.509 0.000
4.444 2.509 0.000
-1.400 0.000 9.883
Li Mn Ni O
6 2 4 12
direct
0.116 0.884 0.750
0.204 0.450 0.244
0.450 0.204 0.744
0.550 0.796 0.256
0.796 0.550 0.756
0.884 0.116 0.250
0.000 0.500 0.500
0.500 0.000 0.000
0.171 0.664 0.000
0.336 0.829 0.500
0.664 0.171 0.500
0.829 0.336 0.000
0.012 0.199 0.609
0.168 0.306 0.890
0.199 0.012 0.109
0.306 0.168 0.390
0.329 0.514 0.612
0.486 0.671 0.888
0.514 0.329 0.112
0.671 0.486 0.388
0.694 0.832 0.610
0.801 0.988 0.891
0.832 0.694 0.110
0.988 0.801 0.391
```

Record 4
Diffraction record for LiMn3Ni2O8. The X-ray powder pattern is theoretical, not measured: it uses a PBE+U-relaxed structure and copper Kα.

Top 6 peaks for 2θ = 5–70°, in order of rising 2θ:
d = 4.869 Å, I = 100
d = 4.843 Å, I = 89
d = 2.578 Å, I = 92
d = 2.521 Å, I = 100
d = 2.080 Å, I = 84
d = 1.495 Å, I = 92

```
LiMn3Ni2O8
1.0
-2.929 2.953 4.302
2.929 -2.953 4.302
2.929 2.953 -4.302
Li Mn Ni O
1 3 2 8
direct
0.000 0.000 0.000
0.273 0.773 0.500
0.640 0.386 0.746
0.640 0.894 0.254
0.133 0.386 0.747
0.639 0.386 0.253
0.412 0.183 0.771
0.412 0.633 0.779
0.412 0.640 0.229
0.420 0.139 0.281
0.853 0.633 0.221
0.858 0.139 0.719
0.862 0.130 0.268
0.862 0.593 0.732
```

Record 5
Diffraction record for Li8Mn15NiO32. The X-ray powder pattern is theoretical, not measured: it uses a PBE+U-relaxed structure and copper Kα.

Top 6 peaks for 2θ = 5–70°, in order of rising 2θ:
d = 4.849 Å, I = 100
d = 4.818 Å, I = 30
d = 2.531 Å, I = 46
d = 2.096 Å, I = 71
d = 1.486 Å, I = 21
d = 1.479 Å, I = 21

```
Li8Mn15NiO32
1.0
5.943 3.431 4.818
-5.943 3.431 4.818
0.000 -6.863 4.818
Li Mn Ni O
8 15 1 32
direct
0.122 0.122 0.122
0.129 0.622 0.627
0.373 0.378 0.871
0.378 0.871 0.373
0.622 0.627 0.129
0.627 0.129 0.622
0.871 0.373 0.378
0.878 0.878 0.878
0.000 0.259 0.741
0.000 0.748 0.252
0.003 0.997 0.500
0.246 0.251 0.494
0.251 0.494 0.246
0.252 0.000 0.748
0.259 0.741 0.000
0.494 0.246 0.251
0.500 0.003 0.997
0.506 0.749 0.754
0.741 0.000 0.259
0.748 0.252 0.000
0.749 0.754 0.506
0.754 0.506 0.749
0.997 0.500 0.003
0.500 0.500 0.500
0.007 0.731 0.018
0.014 0.510 0.236
0.015 0.227 0.495
0.018 0.007 0.731
0.227 0.495 0.015
0.231 0.260 0.721
0.236 0.014 0.510
0.251 0.480 0.476
0.260 0.260 0.260
0.260 0.721 0.231
0.269 0.993 0.982
0.279 0.740 0.769
0.476 0.251 0.480
0.480 0.476 0.251
0.490 0.986 0.764
0.495 0.015 0.227
0.505 0.773 0.985
0.510 0.236 0.014
0.520 0.749 0.524
0.524 0.520 0.749
0.721 0.231 0.260
0.731 0.018 0.007
0.740 0.740 0.740
0.740 0.769 0.279
0.749 0.524 0.520
0.764 0.490 0.986
0.769 0.279 0.740
0.773 0.985 0.505
0.982 0.269 0.993
0.985 0.505 0.773
0.986 0.764 0.490
0.993 0.982 0.269
```

Record 6
Diffraction record for Li2Mn3NiO8. The X-ray powder pattern is theoretical, not measured: it uses a PBE+U-relaxed structure and copper Kα.

Top 6 peaks for 2θ = 5–70°, in order of rising 2θ:
d = 4.880 Å, I = 37
d = 4.781 Å, I = 100
d = 2.506 Å, I = 36
d = 2.081 Å, I = 74
d = 1.483 Å, I = 22
d = 1.460 Å, I = 22

```
Li2Mn3NiO8
1.0
2.921 1.686 4.880
-2.921 1.686 4.880
0.000 -3.372 4.880
Li Mn Ni O
2 3 1 8
direct
0.117 0.117 0.117
0.883 0.883 0.883
0.000 0.500 0.500
0.500 0.000 0.500
0.500 0.500 0.000
0.500 0.500 0.500
0.253 0.253 0.710
0.253 0.710 0.253
0.263 0.263 0.263
0.290 0.747 0.747
0.710 0.253 0.253
0.737 0.737 0.737
0.747 0.290 0.747
0.747 0.747 0.290
```

Please write out number 6 again, unchanged.
Diffraction record for Li2Mn3NiO8. The X-ray powder pattern is theoretical, not measured: it uses a PBE+U-relaxed structure and copper Kα.

Top 6 peaks for 2θ = 5–70°, in order of rising 2θ:
d = 4.880 Å, I = 37
d = 4.781 Å, I = 100
d = 2.506 Å, I = 36
d = 2.081 Å, I = 74
d = 1.483 Å, I = 22
d = 1.460 Å, I = 22

```
Li2Mn3NiO8
1.0
2.921 1.686 4.880
-2.921 1.686 4.880
0.000 -3.372 4.880
Li Mn Ni O
2 3 1 8
direct
0.117 0.117 0.117
0.883 0.883 0.883
0.000 0.500 0.500
0.500 0.000 0.500
0.500 0.500 0.000
0.500 0.500 0.500
0.253 0.253 0.710
0.253 0.710 0.253
0.263 0.263 0.263
0.290 0.747 0.747
0.710 0.253 0.253
0.737 0.737 0.737
0.747 0.290 0.747
0.747 0.747 0.290
```

Repeat the fifth record exactly.
Diffraction record for Li8Mn15NiO32. The X-ray powder pattern is theoretical, not measured: it uses a PBE+U-relaxed structure and copper Kα.

Top 6 peaks for 2θ = 5–70°, in order of rising 2θ:
d = 4.849 Å, I = 100
d = 4.818 Å, I = 30
d = 2.531 Å, I = 46
d = 2.096 Å, I = 71
d = 1.486 Å, I = 21
d = 1.479 Å, I = 21

```
Li8Mn15NiO32
1.0
5.943 3.431 4.818
-5.943 3.431 4.818
0.000 -6.863 4.818
Li Mn Ni O
8 15 1 32
direct
0.122 0.122 0.122
0.129 0.622 0.627
0.373 0.378 0.871
0.378 0.871 0.373
0.622 0.627 0.129
0.627 0.129 0.622
0.871 0.373 0.378
0.878 0.878 0.878
0.000 0.259 0.741
0.000 0.748 0.252
0.003 0.997 0.500
0.246 0.251 0.494
0.251 0.494 0.246
0.252 0.000 0.748
0.259 0.741 0.000
0.494 0.246 0.251
0.500 0.003 0.997
0.506 0.749 0.754
0.741 0.000 0.259
0.748 0.252 0.000
0.749 0.754 0.506
0.754 0.506 0.749
0.997 0.500 0.003
0.500 0.500 0.500
0.007 0.731 0.018
0.014 0.510 0.236
0.015 0.227 0.495
0.018 0.007 0.731
0.227 0.495 0.015
0.231 0.260 0.721
0.236 0.014 0.510
0.251 0.480 0.476
0.260 0.260 0.260
0.260 0.721 0.231
0.269 0.993 0.982
0.279 0.740 0.769
0.476 0.251 0.480
0.480 0.476 0.251
0.490 0.986 0.764
0.495 0.015 0.227
0.505 0.773 0.985
0.510 0.236 0.014
0.520 0.749 0.524
0.524 0.520 0.749
0.721 0.231 0.260
0.731 0.018 0.007
0.740 0.740 0.740
0.740 0.769 0.279
0.749 0.524 0.520
0.764 0.490 0.986
0.769 0.279 0.740
0.773 0.985 0.505
0.982 0.269 0.993
0.985 0.505 0.773
0.986 0.764 0.490
0.993 0.982 0.269
```